(1)
Starting from a crystal structure in Alexandria, relaxed with GGA-PBE, the powder diffractogram of Tb3Ag3GeS8 was calculated for CuKα.

Top 10 peaks for 2θ = 10–90°, in order of rising 2θ:
2θ/deg	I (rel.)
14.20	170
16.04	230
27.74	665
28.62	205
32.35	1000
32.49	494
45.89	535
46.92	166
47.11	330
57.34	176

Cell and atoms:
Cell: 7.721 7.721 7.751 Å, 118.52 118.52 61.65°
Atoms (fractional coordinates):
Tb1 0.000 0.000 0.000
Tb2 0.000 0.500 0.500
Tb3 0.500 0.000 0.500
Ag1 0.000 0.500 0.000
Ag2 0.500 0.000 0.000
Ag3 0.500 0.500 0.500
Ge1 0.500 0.500 0.000
S1 0.246 0.246 0.256
S2 0.274 0.274 0.775
S3 0.274 0.724 0.224
S4 0.276 0.726 0.776
S5 0.724 0.274 0.224
S6 0.726 0.276 0.776
S7 0.726 0.726 0.225
S8 0.754 0.754 0.744

(2)
Starting from a crystal structure in Alexandria, relaxed with GGA-PBE, the powder diffractogram of Na2Zn was calculated for CuKα.

Top 10 peaks for 2θ = 10–90°, in order of rising 2θ:
2θ/deg	I (rel.)
14.61	451
25.24	247
32.87	1000
34.39	472
37.55	178
44.71	189
49.43	161
57.70	150
60.64	310
68.88	179

Cell and atoms:
Cell: 6.602 6.601 3.688 Å, 73.79 73.78 32.44°
Atoms (fractional coordinates):
Na1 0.145 0.145 0.855
Na2 0.855 0.855 0.145
Zn1 0.500 0.500 0.500

(3)
Starting from a crystal structure in Alexandria, relaxed with GGA-PBE, the powder diffractogram of Ca2TlOs was calculated for CuKα.

Top 10 peaks for 2θ = 10–90°, in order of rising 2θ:
2θ/deg	I (rel.)
22.00	615
34.46	1000
36.13	181
39.78	337
40.45	161
45.92	191
54.82	116
58.03	222
68.80	266
69.73	128

Cell and atoms:
Cell: 5.492 5.492 5.492 Å, 131.26 131.26 71.40°
Atoms (fractional coordinates):
Ca1 0.000 0.000 0.000
Ca2 0.750 0.250 0.500
Tl1 0.500 0.500 0.000
Os1 0.250 0.750 0.500